Starting from a crystal structure in Alexandria, relaxed with PBE, the powder diffractogram of Sc5P2S2 was computed for Cu Kα (λ = 1.5418 Å).
Peak positions follow from Bragg's law for the DFT cell and can differ from measured ones.

Crystal structure
Cell: 13.0877 6.9334 6.9548 Å, 90.00 90.00 90.00°
Space group Cmce (No. 64)
Inequivalent atoms, fractional coordinates:
Sc1 0.0000 0.0000 0.0000 x4
Sc2 0.1354 0.1601 0.3438 x16
P1 0.0000 0.1431 0.6416 x8
S1 0.1985 0.0000 0.0000 x8

Largest 6 diffraction maxima, low angle first, 10 to 80 degrees two-theta:
2.532 Å, 2θ = 35.46°, I = 100.0, hkl 3 1 2
2.455 Å, 2θ = 36.60°, I = 34.8, hkl 0 2 2
2.381 Å, 2θ = 37.78°, I = 44.5, hkl 4 2 0
2.251 Å, 2θ = 40.05°, I = 81.0, hkl 4 2 1
2.168 Å, 2θ = 41.65°, I = 60.0, hkl 1 1 3
2.163 Å, 2θ = 41.76°, I = 62.6, hkl 1 3 1